This entry pairs a crystal structure of Ce3PrSn2 with its calculated X-ray diffraction stick pattern. Radiation: Cu Kα (weighted mean of Kα1 and Kα2). Structure: a cell relaxed with GGA-PBE.
Kinematic intensities with the Lorentz-polarization factor, no thermal factor.

Crystal structure
```
data_Ce3PrSn2
_chemical_formula_sum 'Ce12 Pr4 Sn8'
_symmetry_space_group_name_H-M 'C 1 2/m 1'
_symmetry_Int_Tables_number 12
_symmetry_space_group_name_Hall '-C 2y'
_cell_length_a 18.597
_cell_length_b 4.875
_cell_length_c 8.164
_cell_angle_alpha 90.00
_cell_angle_beta 114.45
_cell_angle_gamma 90.00
loop_
_atom_site_label
_atom_site_type_symbol
_atom_site_fract_x
_atom_site_fract_y
_atom_site_fract_z
Ce1 Ce 0.068 0.000 0.159
Ce2 Ce 0.121 0.500 0.052
Ce3 Ce 0.203 0.500 0.419
Pr1 Pr 0.114 0.000 0.681
Sn1 Sn 0.021 0.500 0.344
Sn2 Sn 0.247 0.000 0.154
```

Peak list (10 most intense, 2θ from 5° to 70°, sorted by position)
- 2θ = 29.81°, I = 21, hkl 3 1 1
- 2θ = 30.24°, I = 100, hkl 5 1 -1
- 2θ = 32.19°, I = 34, hkl 5 1 0
- 2θ = 32.42°, I = 77, hkl 1 1 2
- 2θ = 33.02°, I = 69, hkl 5 1 -2
- 2θ = 33.21°, I = 28, hkl 2 0 -3
- 2θ = 36.88°, I = 74, hkl 0 2 0
- 2θ = 38.53°, I = 24, hkl 6 0 1
- 2θ = 38.75°, I = 24, hkl 7 1 -1
- 2θ = 39.14°, I = 27, hkl 1 1 -3

---

This entry pairs a crystal structure of CePr3Sn2 with its calculated X-ray diffraction stick pattern. Radiation: Cu Kα (weighted mean of Kα1 and Kα2). Structure: a cell relaxed with GGA-PBE.
Kinematic intensities with the Lorentz-polarization factor, no thermal factor.

Crystal structure
```
data_CePr3Sn2
_chemical_formula_sum 'Ce1 Pr3 Sn2'
_symmetry_space_group_name_H-M 'P -4 m 2'
_symmetry_Int_Tables_number 115
_symmetry_space_group_name_Hall 'P -4 -2'
_cell_length_a 4.639
_cell_length_b 4.639
_cell_length_c 8.896
_cell_angle_alpha 90.00
_cell_angle_beta 90.00
_cell_angle_gamma 90.00
loop_
_atom_site_label
_atom_site_type_symbol
_atom_site_fract_x
_atom_site_fract_y
_atom_site_fract_z
Ce1 Ce 0.000 0.000 0.000
Pr1 Pr 0.000 0.500 0.354
Pr2 Pr 0.500 0.500 0.000
Sn1 Sn 0.000 0.500 0.724
```

Peak list (10 most intense, 2θ from 5° to 70°, sorted by position)
- 2θ = 29.01°, I = 100, hkl 1 1 1
- 2θ = 30.14°, I = 40, hkl 0 0 3
- 2θ = 33.96°, I = 94, hkl 1 1 2
- 2θ = 35.94°, I = 24, hkl 1 0 3
- 2θ = 38.82°, I = 62, hkl 2 0 0
- 2θ = 49.92°, I = 40, hkl 2 0 3
- 2θ = 56.07°, I = 21, hkl 2 2 0
- 2θ = 64.36°, I = 21, hkl 3 1 1
- 2θ = 64.97°, I = 18, hkl 2 2 3
- 2θ = 67.19°, I = 26, hkl 3 1 2